No. 1
LiPr2Ir: theoretical X-ray powder pattern (Cu Kα X-rays), based on a crystal structure in the Materials Project, relaxed with GGA-PBE.

Most intense lines, 2θ from 10° to 90°, sorted by position:
d/Å	2theta	I/Imax
4.193	21.2	34
2.568	34.9	100
2.190	41.2	19
1.816	50.3	18
1.482	62.7	37
1.148	84.3	16

Cell and atoms:
Unit cell a=5.135 b=5.135 c=5.135 alpha=60.00 beta=60.00 gamma=60.00
Atoms (fractional coordinates):
Li: 0.000 0.000 0.000
Pr: 0.250 0.250 0.250
Pr: 0.750 0.750 0.750
Ir: 0.500 0.500 0.500


No. 2
GeNCl3: theoretical X-ray powder pattern (Cu Kα X-rays), based on a crystal structure in the Materials Project, relaxed with GGA-PBE.

Most intense lines, 2θ from 10° to 90°, sorted by position:
d/Å	2theta	I/Imax
6.434	13.8	100
4.805	18.5	22
4.331	20.5	41
3.217	27.7	29
3.005	29.7	14
1.974	46.0	14

Cell and atoms:
Unit cell a=6.498 b=6.498 c=6.498 alpha=95.38 beta=95.38 gamma=95.38
Atoms (fractional coordinates):
Ge: 0.000 0.000 0.000
N: 0.470 0.470 0.470
Cl: 0.320 0.952 0.952
Cl: 0.952 0.320 0.952
Cl: 0.952 0.952 0.320